Entry 1:
For PrHoZn4, DFT lattice parameters and positions (GGA-PBE) gives the simulated powder X-ray diffraction pattern in this record (copper Kα).

Structure:
```
12
Lattice="4.513 0.000 0.000 0.000 7.207 0.000 0.000 0.000 7.581" Properties=species:S:1:pos:R:3 pbc="T T T"
Pr 0.000 0.000 0.000
Pr 2.256 3.604 3.791
Ho 0.000 3.604 0.462
Ho 2.256 0.000 4.253
Zn 0.000 1.455 2.818
Zn 0.000 2.117 5.331
Zn 0.000 5.090 5.331
Zn 0.000 5.752 2.818
Zn 2.256 1.486 1.541
Zn 2.256 2.148 6.609
Zn 2.256 5.059 6.609
Zn 2.256 5.721 1.541
```

Principal peaks in the range 2θ from 5° to 70°, sorted by position:
| Position (°2θ) | Rel. int. |
| --- | --- |
| 22.93 | 18.1 |
| 33.28 | 20.6 |
| 33.96 | 100.0 |
| 34.34 | 44.0 |
| 39.96 | 31.6 |
| 40.93 | 49.6 |
| 53.68 | 24.3 |
| 68.74 | 12.6 |

---

Entry 2:
For Ho2Pt, DFT lattice parameters and positions (GGA-PBE) gives the simulated powder X-ray diffraction pattern in this record (copper Kα).

Structure:
```
12
Lattice="7.083 0.000 0.000 0.000 4.744 0.000 0.000 0.000 8.742" Properties=species:S:1:pos:R:3 pbc="T T T"
Ho 0.075 1.186 1.474
Ho 1.028 1.186 5.070
Ho 2.513 3.558 0.699
Ho 3.467 3.558 5.845
Ho 3.616 1.186 2.897
Ho 4.570 1.186 8.043
Ho 6.055 3.558 3.672
Ho 7.008 3.558 7.268
Pt 1.705 1.186 7.923
Pt 1.837 3.558 3.552
Pt 5.246 1.186 5.191
Pt 5.378 3.558 0.820
```

Principal peaks in the range 2θ from 5° to 70°, sorted by position:
| Position (°2θ) | Rel. int. |
| --- | --- |
| 30.54 | 65.8 |
| 31.53 | 27.2 |
| 33.20 | 100.0 |
| 36.18 | 59.1 |
| 37.94 | 54.7 |
| 44.08 | 21.0 |
| 44.57 | 25.7 |
| 69.80 | 23.7 |

---

Entry 3:
For Ho8Pt, DFT lattice parameters and positions (GGA-PBE) gives the simulated powder X-ray diffraction pattern in this record (copper Kα).

Structure:
```
9
Lattice="9.065 0.000 0.000 -4.533 7.851 0.000 0.000 0.000 3.662" Properties=species:S:1:pos:R:3 pbc="T T T"
Ho -1.109 1.921 0.000
Ho -2.770 4.798 1.831
Ho 2.218 0.000 0.000
Ho 0.000 5.234 0.000
Ho 1.762 3.052 1.831
Ho 5.541 0.000 1.831
Ho 4.533 2.617 0.000
Ho 3.423 5.930 0.000
Pt 0.000 0.000 1.831
```

Principal peaks in the range 2θ from 5° to 70°, sorted by position:
| Position (°2θ) | Rel. int. |
| --- | --- |
| 30.12 | 67.5 |
| 31.40 | 100.0 |
| 33.46 | 89.7 |
| 34.27 | 73.8 |
| 39.07 | 61.6 |
| 49.79 | 20.3 |
| 56.98 | 48.8 |
| 61.84 | 27.1 |

---

Entry 4:
For Sm3Ho3Te2Pt, DFT lattice parameters and positions (GGA-PBE) gives the simulated powder X-ray diffraction pattern in this record (copper Kα).

Structure:
```
9
Lattice="8.545 0.000 0.000 -4.273 7.400 0.000 0.000 0.000 3.943" Properties=species:S:1:pos:R:3 pbc="T T T"
Sm -1.066 1.847 0.000
Sm 2.133 0.000 0.000
Sm 3.206 5.553 0.000
Ho -2.551 4.419 1.971
Ho 1.722 2.982 1.971
Ho 5.102 0.000 1.971
Te 0.000 4.934 0.000
Te 4.273 2.467 0.000
Pt 0.000 0.000 1.971
```

Principal peaks in the range 2θ from 5° to 70°, sorted by position:
| Position (°2θ) | Rel. int. |
| --- | --- |
| 30.86 | 93.3 |
| 32.00 | 56.8 |
| 33.20 | 100.0 |
| 36.42 | 49.4 |
| 39.50 | 43.7 |
| 46.04 | 23.3 |
| 59.26 | 43.3 |
| 60.08 | 23.2 |